YAgF4: theoretical powder diffraction line list (Cu Kα X-rays), based on a GGA-PBE-relaxed structure.
Peak positions follow from Bragg's law for the DFT cell and can differ from measured ones.

Structural model:
```
YAgF4
1.0
-3.7509 3.7509 3.8113
3.7509 -3.7509 3.8113
3.7509 3.7509 -3.8113
Y Ag F
2 2 8
Cartesian
0.0000 0.0000 0.0000
0.0000 3.7509 1.9057
3.7509 0.0000 2.0282
0.0000 0.0000 3.9339
3.7509 2.2302 -2.1451
0.0000 1.5207 1.6662
1.4953 3.7509 0.3637
2.2556 0.0000 4.1750
3.7509 2.2556 2.2693
-1.5207 3.7509 3.5719
1.5207 3.7509 3.5719
0.0000 1.4953 6.0807
```

Most intense lines, 2θ from 15° to 90°, by angle:
23.72 deg, d = 3.751 Å, I 100; 28.84 deg, d = 3.095 Å, I 89; 33.80 deg, d = 2.652 Å, I 17; 45.01 deg, d = 2.014 Å, I 75; 48.54 deg, d = 1.875 Å, I 20; 53.97 deg, d = 1.699 Å, I 18; 54.72 deg, d = 1.677 Å, I 15; 57.45 deg, d = 1.604 Å, I 23

YAgF: theoretical powder diffraction line list (Cu Kα X-rays), based on a GGA-PBE-relaxed structure.
Peak positions follow from Bragg's law for the DFT cell and can differ from measured ones.

Structural model:
```
YAgF
1.0
3.6651 0.0000 0.0000
0.0000 3.6651 0.0000
0.0000 0.0000 8.0744
Y Ag F
2 2 2
Cartesian
0.9163 0.9163 1.5771
2.7488 2.7488 6.4973
0.9163 0.9163 4.7901
2.7488 2.7488 3.2844
0.9163 2.7488 0.0000
2.7488 0.9163 0.0000
```

Most intense lines, 2θ from 15° to 90°, by angle:
33.01 deg, d = 2.714 Å, I 100; 34.61 deg, d = 2.592 Å, I 57; 36.41 deg, d = 2.468 Å, I 20; 41.63 deg, d = 2.169 Å, I 49; 49.76 deg, d = 1.833 Å, I 28; 61.01 deg, d = 1.519 Å, I 32; 66.83 deg, d = 1.400 Å, I 23; 68.45 deg, d = 1.371 Å, I 14

ZnAgF4: theoretical powder diffraction line list (Cu Kα X-rays), based on a GGA-PBE-relaxed structure.
Peak positions follow from Bragg's law for the DFT cell and can differ from measured ones.

Structural model:
```
ZnAgF4
1.0
5.8531 0.0000 0.0000
0.0000 5.0309 0.0000
-1.5916 0.0000 5.5048
Zn Ag F
2 2 8
Cartesian
0.0000 0.0000 0.0000
-0.7958 2.5155 2.7524
2.1308 0.0000 2.7524
2.9265 2.5155 0.0000
0.2662 1.2510 1.5886
-0.5296 1.2645 4.3410
1.0129 3.4055 3.5494
1.8087 4.1409 0.7971
2.4528 0.8901 4.7077
3.2486 1.6254 1.9553
4.7911 3.7665 1.1637
3.9953 3.7799 3.9161
```

Most intense lines, 2θ from 15° to 90°, by angle:
26.16 deg, d = 3.406 Å, I 100; 31.25 deg, d = 2.862 Å, I 48; 31.83 deg, d = 2.811 Å, I 25; 48.57 deg, d = 1.875 Å, I 18; 49.06 deg, d = 1.857 Å, I 24; 50.25 deg, d = 1.816 Å, I 17; 51.21 deg, d = 1.784 Å, I 16; 53.83 deg, d = 1.703 Å, I 17

ZnAg3F6: theoretical powder diffraction line list (Cu Kα X-rays), based on a GGA-PBE-relaxed structure.
Peak positions follow from Bragg's law for the DFT cell and can differ from measured ones.

Structural model:
```
ZnAg3F6
1.0
5.5804 0.0000 0.0000
0.0000 5.8813 0.0000
-5.5325 0.0000 8.8610
Zn Ag F
2 6 12
Cartesian
0.0000 0.0000 0.0000
-2.7662 2.9406 4.4305
-2.8924 0.4607 6.7521
-0.1262 2.4800 2.3216
0.0240 0.0000 4.4305
2.7902 2.9406 0.0000
0.1742 3.4013 6.5394
2.9404 5.4206 2.1089
-1.7947 1.2647 3.7072
-4.5609 1.6759 8.1377
-1.1214 4.0638 3.8020
-3.8876 4.7581 8.2325
0.8095 0.4135 1.8486
-1.9567 2.5271 6.2792
2.0047 3.3542 2.5819
-0.7615 5.4677 7.0124
3.9356 1.1232 0.6285
1.1693 1.8175 5.0591
4.6089 4.2053 0.7234
1.8426 4.6166 5.1539
```

Most intense lines, 2θ from 15° to 90°, by angle:
24.17 deg, d = 3.682 Å, I 28; 29.84 deg, d = 2.994 Å, I 95; 29.96 deg, d = 2.983 Å, I 100; 30.40 deg, d = 2.941 Å, I 27; 32.08 deg, d = 2.790 Å, I 48; 40.73 deg, d = 2.215 Å, I 26; 44.78 deg, d = 2.024 Å, I 29; 50.40 deg, d = 1.811 Å, I 22

Zn3Ag5F12: theoretical powder diffraction line list (Cu Kα X-rays), based on a GGA-PBE-relaxed structure.
Peak positions follow from Bragg's law for the DFT cell and can differ from measured ones.

Structural model:
```
Zn3Ag5F12
1.0
9.9555 0.0000 0.0000
-4.9778 8.6217 0.0000
0.0000 0.0000 3.2159
Zn Ag F
3 5 12
Cartesian
-3.2663 5.6573 0.0000
1.7115 2.9644 0.0000
6.5325 0.0000 0.0000
-1.3491 2.3367 1.6080
2.6982 0.0000 1.6080
0.0000 5.7478 1.6080
4.9778 2.8739 1.6080
3.6287 6.2850 1.6080
-2.6334 4.5611 1.6080
-3.9851 6.9024 1.6080
0.9926 1.7193 1.6080
-0.1306 3.8383 0.0000
-1.5883 6.8157 0.0000
3.3894 1.8061 0.0000
2.3444 4.0606 1.6080
5.2667 0.0000 1.6080
1.7190 6.5894 0.0000
4.8471 4.7834 0.0000
6.6967 2.0323 0.0000
7.9702 0.0000 1.6080
```

Most intense lines, 2θ from 15° to 90°, by angle:
20.60 deg, d = 4.311 Å, I 37; 27.37 deg, d = 3.259 Å, I 53; 31.12 deg, d = 2.874 Å, I 100; 33.16 deg, d = 2.701 Å, I 100; 39.36 deg, d = 2.289 Å, I 78; 46.12 deg, d = 1.968 Å, I 39; 54.46 deg, d = 1.685 Å, I 30; 56.68 deg, d = 1.624 Å, I 47

Zn3Ag6F14: theoretical powder diffraction line list (Cu Kα X-rays), based on a GGA-PBE-relaxed structure.
Peak positions follow from Bragg's law for the DFT cell and can differ from measured ones.

Structural model:
```
Zn3Ag6F14
1.0
8.3552 0.0000 0.0000
-4.1776 7.2358 0.0000
0.0000 0.0000 5.4712
Zn Ag F
3 6 14
Cartesian
0.0000 0.0000 0.0000
0.0000 4.8239 0.8446
4.1776 2.4119 2.5155
-0.4899 2.2458 2.5576
-1.9878 6.5372 2.5576
1.9959 2.9953 5.0652
4.7633 0.2309 5.0652
2.4776 5.6887 2.5576
5.7736 4.0097 5.0652
0.0000 0.0000 3.5204
-1.5759 4.2984 2.0860
-0.3561 3.1992 5.0813
1.4037 1.0429 0.8347
-1.2290 5.9446 5.0813
1.2431 3.7218 2.0860
2.8678 1.3262 3.4864
0.3329 6.4515 2.0860
1.5851 5.3278 5.0813
4.1776 2.4119 0.6046
3.8922 4.0892 3.4864
5.7728 1.8205 3.4864
6.7502 0.6941 0.8347
4.3790 5.4988 0.8347
```

Most intense lines, 2θ from 15° to 90°, by angle:
26.85 deg, d = 3.320 Å, I 52; 29.60 deg, d = 3.018 Å, I 100; 32.74 deg, d = 2.735 Å, I 49; 41.38 deg, d = 2.182 Å, I 28; 45.18 deg, d = 2.007 Å, I 22; 46.98 deg, d = 1.934 Å, I 21; 48.31 deg, d = 1.884 Å, I 27; 61.08 deg, d = 1.517 Å, I 19

ZnAgF6: theoretical powder diffraction line list (Cu Kα X-rays), based on a GGA-PBE-relaxed structure.
Peak positions follow from Bragg's law for the DFT cell and can differ from measured ones.

Structural model:
```
ZnAgF6
1.0
5.0889 0.0000 0.0000
-2.5445 4.4071 0.0000
0.0000 0.0000 9.5248
Zn Ag F
2 2 12
Cartesian
0.0000 2.9381 2.3812
2.5445 1.4690 7.1436
0.0000 0.0000 0.0000
0.0000 0.0000 4.7624
-0.7301 1.4903 1.1936
-1.6188 3.0297 3.5688
0.7301 1.4903 3.5688
-0.8887 4.2943 1.1936
1.6557 0.1129 5.9560
0.9256 1.3775 8.3311
1.6188 3.0297 1.1936
0.8887 4.2943 3.5688
3.4332 0.1129 8.3311
1.8144 2.9168 5.9560
4.1633 1.3775 5.9560
3.2746 2.9168 8.3311
```

Most intense lines, 2θ from 15° to 90°, by angle:
20.15 deg, d = 4.407 Å, I 31; 22.23 deg, d = 4.000 Å, I 37; 27.58 deg, d = 3.235 Å, I 100; 35.27 deg, d = 2.544 Å, I 19; 40.18 deg, d = 2.244 Å, I 18; 45.35 deg, d = 2.000 Å, I 25; 52.64 deg, d = 1.739 Å, I 40; 58.72 deg, d = 1.572 Å, I 22

ZnAg2F5: theoretical powder diffraction line list (Cu Kα X-rays), based on a GGA-PBE-relaxed structure.
Peak positions follow from Bragg's law for the DFT cell and can differ from measured ones.

Structural model:
```
ZnAg2F5
1.0
6.0731 -2.7934 0.0000
6.0731 2.7934 0.0000
-3.1182 0.0000 6.9038
Zn Ag F
2 4 10
Cartesian
4.5140 2.6981 3.4519
6.0731 -2.6981 0.0000
3.4846 0.0537 0.8064
1.9255 -0.0537 4.2583
5.2654 0.1110 5.4309
6.8245 -0.1110 1.9790
3.0126 1.5632 2.6724
3.9432 2.0439 5.3288
5.2520 1.1214 0.2839
7.8489 1.6911 1.2280
5.9607 1.2611 3.5596
1.4535 -1.5632 6.1243
3.6929 -1.1214 3.7358
7.5198 -1.2611 0.1077
5.5022 -2.0439 1.8769
6.2898 -1.6911 4.6799
```

Most intense lines, 2θ from 15° to 90°, by angle:
28.59 deg, d = 3.122 Å, I 96; 29.00 deg, d = 3.079 Å, I 100; 32.05 deg, d = 2.793 Å, I 43; 35.89 deg, d = 2.502 Å, I 26; 45.96 deg, d = 1.975 Å, I 37; 48.86 deg, d = 1.864 Å, I 21; 54.80 deg, d = 1.675 Å, I 17; 55.01 deg, d = 1.669 Å, I 16